No. 1
This entry pairs a crystal structure of Cs2SCl6F with its theoretical powder X-ray diffraction pattern. Radiation: Cu Ka. Structure: a cell relaxed with GGA-PBE.
Kinematic intensities with the Lorentz-polarization factor, no thermal factor.

Largest 10 diffraction maxima, sorted by position, 10° ≤ 2θ ≤ 90°:
hkl 2 0 0, d 5.166, 17.17 deg, rel. 24.4
hkl 2 2 0, d 3.653, 24.37 deg, rel. 91.7
hkl 2 2 2, d 2.982, 29.96 deg, rel. 100.0
hkl 4 0 0, d 2.583, 34.73 deg, rel. 77.2
hkl 4 2 0, d 2.310, 38.99 deg, rel. 18.7
hkl 4 2 2, d 2.109, 42.88 deg, rel. 35.7
hkl 4 4 0, d 1.826, 49.94 deg, rel. 47.7
hkl 6 2 0, d 1.634, 56.32 deg, rel. 21.8
hkl 6 2 2, d 1.558, 59.33 deg, rel. 33.8
hkl 6 4 2, d 1.381, 67.89 deg, rel. 22.6

Cell: 10.332 10.332 10.332 Å, 90.00 90.00 90.00°
Space group Fm-3m (No. 225)
Asymmetric unit:
Cs  0.250  0.250  0.250
S  0.000  0.000  0.000
Cl  0.000  0.000  0.224
F  0.000  0.000  0.500

---

No. 2
This entry pairs a crystal structure of HoScB2O6 with its theoretical powder X-ray diffraction pattern. Radiation: Cu Ka. Structure: a cell relaxed with GGA-PBE.
Kinematic intensities with the Lorentz-polarization factor, no thermal factor.

Largest 10 diffraction maxima, sorted by position, 10° ≤ 2θ ≤ 90°:
hkl 0 0 3, d 5.352, 16.56 deg, rel. 27.5
hkl 1 0 1, d 4.101, 21.67 deg, rel. 49.1
hkl 0 1 2, d 3.750, 23.73 deg, rel. 90.2
hkl 1 0 4, d 2.915, 30.67 deg, rel. 100.0
hkl 1 1 0, d 2.449, 36.70 deg, rel. 33.1
hkl 2 -1 3, d 2.227, 40.51 deg, rel. 31.1
hkl 2 0 2, d 2.050, 44.17 deg, rel. 28.8
hkl 0 1 8, d 1.814, 50.29 deg, rel. 23.1
hkl 1 1 6, d 1.807, 50.52 deg, rel. 43.7
hkl 1 2 2, d 1.572, 58.73 deg, rel. 22.2

Cell: 4.8975 4.8975 16.0563 Å, 90.00 90.00 120.00°
Space group R-3 (No. 148, hexagonal axes)
Asymmetric unit:
Ho  0.0000  0.0000  0.0000
Sc  0.0000  0.0000  0.5000
B  0.0000  0.0000  0.2454
O  0.0181  0.7260  0.2468

---

No. 3
This entry pairs a crystal structure of BaGaBO3F2 with its theoretical powder X-ray diffraction pattern. Radiation: Cu Ka. Structure: a cell relaxed with GGA-PBE.
Kinematic intensities with the Lorentz-polarization factor, no thermal factor.

Largest 10 diffraction maxima, sorted by position, 10° ≤ 2θ ≤ 90°:
hkl 1 0 0, d 4.285, 20.73 deg, rel. 17.0
hkl 1 0 1, d 3.930, 22.62 deg, rel. 19.4
hkl 1 0 2, d 3.235, 27.57 deg, rel. 100.0
hkl 1 1 0, d 2.474, 36.31 deg, rel. 50.9
hkl 0 0 4, d 2.467, 36.43 deg, rel. 24.2
hkl 1 1 2, d 2.211, 40.80 deg, rel. 14.4
hkl 2 0 2, d 1.965, 46.20 deg, rel. 23.5
hkl 1 1 4, d 1.747, 52.38 deg, rel. 27.8
hkl 2 1 2, d 1.539, 60.13 deg, rel. 20.4
hkl 3 0 4, d 1.236, 77.15 deg, rel. 18.0

Cell: 4.9478 4.9478 9.8662 Å, 90.00 90.00 120.00°
Space group P6_3/m (No. 176)
Asymmetric unit:
Ba  0.0000  0.0000  0.0000
Ga  0.3333  0.6667  0.2500
B  0.3333  0.6667  0.7500
O  0.0655  0.3767  0.7500
F  0.3333  0.6667  0.0477